The following is a computed X-ray powder pattern of CsNaTbTe2. It was derived from a PBE-relaxed structure, using Cu Kα (λ = 1.5418 Å).

The 10 most intense peaks (10 to 80 degrees two-theta), by angle:
11.6°, rel. 45.9
15.7°, rel. 21.0
23.6°, rel. 100.0
25.7°, rel. 31.2
31.9°, rel. 26.3
35.3°, rel. 38.3
35.9°, rel. 17.3
39.9°, rel. 17.3
44.6°, rel. 29.7
56.8°, rel. 24.1

Structural model:
a b c (Å): 6.824 16.847 7.611
angles (deg): 90.00 90.00 90.00
Space group Cmme (No. 67)
Symmetry-distinct sites (fractional):
Cs 0.000 0.250 0.242 [4 per cell]
Na 0.000 0.000 0.500 [4 per cell]
Tb 0.250 0.000 0.000 [4 per cell]
Te 0.000 0.116 0.789 [8 per cell]

The following is a computed X-ray powder pattern of Pu2BPt5. It was derived from a PBE-relaxed structure, using Cu Kα (λ = 1.5418 Å).

The 10 most intense peaks (10 to 80 degrees two-theta), by angle:
18.2°, rel. 11.5
29.2°, rel. 11.0
36.9°, rel. 100.0
38.3°, rel. 20.0
45.0°, rel. 30.8
60.5°, rel. 21.5
65.5°, rel. 10.2
68.2°, rel. 12.6
77.6°, rel. 24.0
78.5°, rel. 10.3

Structural model:
a b c (Å): 5.701 5.701 9.411
angles (deg): 90.00 90.00 90.00
Space group I4mm (No. 107)
Symmetry-distinct sites (fractional):
Pu 0.000 0.500 0.000 [4 per cell]
B 0.000 0.000 0.172 [2 per cell]
Pt 0.000 0.000 0.947 [2 per cell]
Pt 0.248 0.248 0.744 [8 per cell]

The following is a computed X-ray powder pattern of K3CrBr6. It was derived from a PBE-relaxed structure, using Cu Kα (λ = 1.5418 Å).

The 10 most intense peaks (10 to 80 degrees two-theta), by angle:
13.6°, rel. 61.4
16.0°, rel. 89.9
25.7°, rel. 50.7
26.7°, rel. 51.0
26.9°, rel. 64.2
27.1°, rel. 100.0
27.4°, rel. 78.3
32.3°, rel. 69.3
36.5°, rel. 80.8
40.7°, rel. 49.4

Structural model:
a b c (Å): 7.670 8.039 13.327
angles (deg): 90.00 124.07 90.00
Space group P2_1/c (No. 14)
Symmetry-distinct sites (fractional):
K 0.000 0.000 0.000 [2 per cell]
K 0.281 0.078 0.755 [4 per cell]
Cr 0.500 0.000 0.500 [2 per cell]
Br 0.176 0.029 0.285 [4 per cell]
Br 0.286 0.668 0.056 [4 per cell]
Br 0.400 0.232 0.059 [4 per cell]